Record 1
Starting from a GGA-PBE-relaxed structure, the PXRD pattern of CdH6N2Cl2 was calculated for Cu Kα.
Intensities are scaled so that the largest is 1000.

Structure:
```
data_CdH6N2Cl2
_chemical_formula_sum 'Cd2 H12 N4 Cl4'
_cell_length_a 8.631
_cell_length_b 8.353
_cell_length_c 4.050
_cell_angle_alpha 90.00
_cell_angle_beta 92.02
_cell_angle_gamma 90.00
_symmetry_space_group_name_H-M 'C 1 2 1'
_symmetry_Int_Tables_number 5
loop_
_symmetry_equiv_pos_as_xyz
'x,y,z'
'-x,y,-z'
'x+1/2,y+1/2,z'
'-x+1/2,y+1/2,-z'
loop_
_atom_site_label
_atom_site_fract_x
_atom_site_fract_y
_atom_site_fract_z
Cd1 0.000 0.000 0.000
H1 0.185 0.592 0.892
H2 0.187 0.454 0.182
H3 0.203 0.402 0.794
N1 0.236 0.487 0.966
Cl1 0.000 0.228 0.500
Cl2 0.000 0.775 0.500
```

Most intense lines, 15° ≤ 2θ ≤ 90°, in order of rising 2θ:
d_spacing	2theta	I (rel.)	h k l
4.313	20.59	688	2 0 0
3.394	26.26	378	1 1 -1
3.318	26.87	262	1 1 1
2.907	30.76	1000	0 2 1
2.719	32.95	352	3 1 0
2.439	36.85	319	2 2 -1
2.382	37.76	302	2 2 1
2.226	40.53	360	1 3 -1
2.206	40.91	191	1 3 1
2.156	41.90	199	4 0 0

=====

Record 2
Starting from a GGA-PBE-relaxed structure, the PXRD pattern of Er2MgTc was calculated for Cu Kα.
Intensities are scaled so that the largest is 1000.

Structure:
```
data_Er2MgTc
_chemical_formula_sum 'Er8 Mg4 Tc4'
_cell_length_a 7.078
_cell_length_b 7.078
_cell_length_c 7.078
_cell_angle_alpha 90.00
_cell_angle_beta 90.00
_cell_angle_gamma 90.00
_symmetry_space_group_name_H-M 'F m -3 m'
_symmetry_Int_Tables_number 225
_symmetry_space_group_name_Hall '-F 4 2 3'
loop_
_atom_site_label
_atom_site_fract_x
_atom_site_fract_y
_atom_site_fract_z
Er1 0.250 0.250 0.250
Mg1 0.000 0.000 0.000
Tc1 0.000 0.000 0.500
```

Most intense lines, 15° ≤ 2θ ≤ 90°, in order of rising 2θ:
d_spacing	2theta	I (rel.)	h k l
4.086	21.75	66	1 1 1
3.539	25.17	244	2 0 0
2.502	35.89	1000	2 2 0
2.043	44.34	75	2 2 2
1.769	51.66	176	4 0 0
1.583	58.30	102	4 2 0
1.445	64.50	360	4 2 2
1.251	76.07	111	4 4 0
1.180	81.62	50	6 0 0
1.119	87.09	161	6 2 0

=====

Record 3
Starting from a GGA-PBE-relaxed structure, the PXRD pattern of Pb5F8 was calculated for Cu Kα.
Intensities are scaled so that the largest is 1000.

Structure:
```
data_Pb5F8
_chemical_formula_sum 'Pb20 F32'
_cell_length_a 21.598
_cell_length_b 4.181
_cell_length_c 12.091
_cell_angle_alpha 90.00
_cell_angle_beta 106.73
_cell_angle_gamma 90.00
_symmetry_space_group_name_H-M 'C 1 m 1'
_symmetry_Int_Tables_number 8
loop_
_symmetry_equiv_pos_as_xyz
'x,y,z'
'x,-y,z'
'x+1/2,y+1/2,z'
'x+1/2,-y+1/2,z'
loop_
_atom_site_label
_atom_site_fract_x
_atom_site_fract_y
_atom_site_fract_z
Pb1 0.000 0.000 0.000
Pb2 0.001 0.000 0.493
Pb3 0.095 0.500 0.297
Pb4 0.102 0.500 0.815
Pb5 0.197 0.000 0.593
Pb6 0.201 0.000 0.094
Pb7 0.294 0.500 0.375
Pb8 0.301 0.500 0.885
Pb9 0.386 0.000 0.192
Pb10 0.401 0.000 0.685
F1 0.001 0.500 0.649
F2 0.002 0.500 0.881
F3 0.093 0.000 0.185
F4 0.097 0.000 0.658
F5 0.103 0.000 0.428
F6 0.185 0.500 0.214
F7 0.197 0.500 0.717
F8 0.200 0.500 0.468
F9 0.216 0.500 0.980
F10 0.298 0.000 0.519
F11 0.304 0.000 0.999
F12 0.395 0.500 0.062
F13 0.397 0.500 0.311
F14 0.400 0.500 0.562
F15 0.401 0.500 0.813
F16 0.497 0.000 0.120
```

Most intense lines, 15° ≤ 2θ ≤ 90°, in order of rising 2θ:
d_spacing	2theta	I (rel.)	h k l
3.439	25.91	1000	1 1 -2
3.427	26.00	481	6 0 -2
3.401	26.20	481	4 0 2
3.023	29.55	245	2 0 -4
2.941	30.40	473	5 1 0
2.114	42.78	333	7 1 -4
2.102	43.04	326	3 1 4
2.091	43.28	176	0 2 0
1.816	50.24	230	3 1 -6
1.785	51.18	165	6 2 -2

=====

Record 4
Starting from a GGA-PBE-relaxed structure, the PXRD pattern of ZrBrN was calculated for Cu Kα.
Intensities are scaled so that the largest is 1000.

Structure:
```
data_ZrBrN
_chemical_formula_sum 'Zr2 Br2 N2'
_cell_length_a 3.639
_cell_length_b 4.172
_cell_length_c 9.004
_cell_angle_alpha 90.00
_cell_angle_beta 90.00
_cell_angle_gamma 90.00
_symmetry_space_group_name_H-M 'P m m n'
_symmetry_Int_Tables_number 59
loop_
_symmetry_equiv_pos_as_xyz
'x,y,z'
'-x,-y,-z'
'-x+1/2,-y+1/2,z'
'x+1/2,y+1/2,-z'
'x+1/2,-y,-z'
'-x+1/2,y,z'
'-x,y+1/2,-z'
'x,-y+1/2,z'
loop_
_atom_site_label
_atom_site_fract_x
_atom_site_fract_y
_atom_site_fract_z
Zr1 0.250 0.250 0.098
Br1 0.250 0.750 0.668
N1 0.250 0.750 0.032
```

Most intense lines, 15° ≤ 2θ ≤ 90°, in order of rising 2θ:
d_spacing	2theta	I (rel.)	h k l
3.785	23.50	1000	0 1 1
2.830	31.61	832	1 0 2
2.623	34.18	531	1 1 1
2.315	38.90	167	1 0 3
2.086	43.38	222	0 2 0
2.024	44.77	321	1 1 3
1.981	45.80	157	0 1 4
1.679	54.66	333	1 2 2
1.640	56.08	176	2 1 1
1.316	71.69	148	1 1 6